(1)
Structure and computed powder diffraction line list of PaNb2CrC4 (a cell relaxed with GGA-PBE; Cu Kα, 1.54184 Å).
Lines closer than 0.1° are merged.

Most intense lines, 2θ from 10° to 90°, by angle:
29.44 deg, I 58
32.09 deg, I 40
33.03 deg, I 34
33.17 deg, I 100
37.72 deg, I 47
40.47 deg, I 42
52.56 deg, I 27
56.74 deg, I 36

Crystal structure
```
data_PaNb2CrC4
_cell_length_a 5.8094
_cell_length_b 5.8094
_cell_length_c 10.8464
_cell_angle_alpha 90.00
_cell_angle_beta 90.00
_cell_angle_gamma 147.57
_symmetry_space_group_name_H-M 'P 1'
_symmetry_Int_Tables_number 1
_symmetry_space_group_name_Hall 'P 1'
loop_
_atom_site_label
_atom_site_type_symbol
_atom_site_fract_x
_atom_site_fract_y
_atom_site_fract_z
Pa1 Pa 0.1029 0.8971 0.7500
Pa2 Pa 0.8971 0.1029 0.2500
Nb1 Nb 0.3713 0.6287 0.5428
Nb2 Nb 0.3713 0.6287 0.9572
Nb3 Nb 0.6287 0.3713 0.0428
Nb4 Nb 0.6287 0.3713 0.4572
Cr1 Cr 0.1597 0.8403 0.2500
Cr2 Cr 0.8403 0.1597 0.7500
C1 C 0.0000 0.0000 0.0000
C2 C 0.0000 0.0000 0.5000
C3 C 0.2667 0.7333 0.1199
C4 C 0.2667 0.7333 0.3801
C5 C 0.4379 0.5621 0.7500
C6 C 0.5621 0.4379 0.2500
C7 C 0.7333 0.2667 0.6199
C8 C 0.7333 0.2667 0.8801
```



(2)
Structure and computed powder diffraction line list of Li2Sn5Pd3 (a cell relaxed with GGA-PBE; Cu Kα, 1.54184 Å).
Lines closer than 0.1° are merged.

Most intense lines, 2θ from 10° to 90°, by angle:
18.12 deg, I 39
19.97 deg, I 30
22.41 deg, I 43
23.80 deg, I 33
33.41 deg, I 44
33.60 deg, I 100
40.71 deg, I 58
44.55 deg, I 72

Crystal structure
```
data_Li2Sn5Pd3
_cell_length_a 13.5191
_cell_length_b 13.5191
_cell_length_c 7.2085
_cell_angle_alpha 90.00
_cell_angle_beta 90.00
_cell_angle_gamma 161.13
_symmetry_space_group_name_H-M 'P 1'
_symmetry_Int_Tables_number 1
_symmetry_space_group_name_Hall 'P 1'
loop_
_atom_site_label
_atom_site_type_symbol
_atom_site_fract_x
_atom_site_fract_y
_atom_site_fract_z
Li1 Li 0.0226 0.9774 0.5000
Li2 Li 0.3486 0.6514 0.4092
Li3 Li 0.6514 0.3486 0.9092
Li4 Li 0.9774 0.0226 0.0000
Sn1 Sn 0.1022 0.8978 0.1214
Sn2 Sn 0.2066 0.7934 0.2822
Sn3 Sn 0.2067 0.7933 0.7391
Sn4 Sn 0.3851 0.6149 0.9991
Sn5 Sn 0.4588 0.5412 0.3251
Sn6 Sn 0.5412 0.4588 0.8251
Sn7 Sn 0.6149 0.3851 0.4991
Sn8 Sn 0.7933 0.2067 0.2391
Sn9 Sn 0.7934 0.2066 0.7822
Sn10 Sn 0.8978 0.1022 0.6214
Pd1 Pd 0.1034 0.8966 0.7437
Pd2 Pd 0.2823 0.7177 0.0149
Pd3 Pd 0.4476 0.5524 0.7001
Pd4 Pd 0.5524 0.4476 0.2001
Pd5 Pd 0.7177 0.2823 0.5149
Pd6 Pd 0.8966 0.1034 0.2437
```



(3)
Structure and computed powder diffraction line list of Li3Dy2Zn4 (a cell relaxed with GGA-PBE; Cu Kα, 1.54184 Å).
Lines closer than 0.1° are merged.

Most intense lines, 2θ from 10° to 90°, by angle:
20.27 deg, I 58
23.33 deg, I 39
32.67 deg, I 57
35.37 deg, I 100
35.58 deg, I 74
36.14 deg, I 50
39.41 deg, I 50
40.11 deg, I 32

Crystal structure
```
data_Li3Dy2Zn4
_cell_length_a 8.1185
_cell_length_b 8.1185
_cell_length_c 8.0214
_cell_angle_alpha 90.00
_cell_angle_beta 90.00
_cell_angle_gamma 139.91
_symmetry_space_group_name_H-M 'P 1'
_symmetry_Int_Tables_number 1
_symmetry_space_group_name_Hall 'P 1'
loop_
_atom_site_label
_atom_site_type_symbol
_atom_site_fract_x
_atom_site_fract_y
_atom_site_fract_z
Li1 Li 0.0000 0.0000 0.0000
Li2 Li 0.0303 0.4697 0.2500
Li3 Li 0.4697 0.0303 0.7500
Li4 Li 0.5000 0.5000 0.5000
Li5 Li 0.5303 0.9697 0.2500
Li6 Li 0.9697 0.5303 0.7500
Dy1 Dy 0.1126 0.8874 0.4130
Dy2 Dy 0.3874 0.6126 0.9130
Dy3 Dy 0.6126 0.3874 0.0870
Dy4 Dy 0.8874 0.1126 0.5870
Zn1 Zn 0.1816 0.8184 0.0283
Zn2 Zn 0.1970 0.3030 0.2500
Zn3 Zn 0.3030 0.1970 0.7500
Zn4 Zn 0.3184 0.6816 0.5283
Zn5 Zn 0.6816 0.3184 0.4717
Zn6 Zn 0.6970 0.8030 0.2500
Zn7 Zn 0.8030 0.6970 0.7500
Zn8 Zn 0.8184 0.1816 0.9717
```